Cs3Mo2Br9: theoretical X-ray powder pattern (λ = 1.5418 Å (Cu Kα)), based on a structure optimized by DFT (PBE).
Lines closer than 0.1° are merged.

Structure:
```
Cs3Mo2Br9
1.0
7.912 0.000 0.000
-3.956 6.852 0.000
0.000 0.000 19.075
Cs Mo Br
6 4 18
Cartesian
0.000 0.000 4.769
0.000 0.000 14.306
0.000 4.568 1.325
0.000 4.568 8.213
3.956 2.284 10.862
3.956 2.284 17.750
0.000 4.568 12.871
0.000 4.568 15.741
3.956 2.284 3.334
3.956 2.284 6.204
-1.910 3.466 14.306
0.000 2.463 11.370
0.000 2.463 17.242
-1.824 5.621 11.370
-1.824 5.621 17.242
2.133 1.231 1.833
2.133 1.231 7.705
1.910 3.466 14.306
0.000 6.773 14.306
3.956 0.079 4.769
2.047 3.387 4.769
1.824 5.621 11.370
1.824 5.621 17.242
5.780 1.231 1.833
5.780 1.231 7.705
3.956 4.390 1.833
3.956 4.390 7.705
5.866 3.387 4.769
```

Principal peaks in the range 2θ from 10° to 90°, low angle first:
2θ 13.73, 6.449 Å, I 42, (1 0 1)
2θ 22.47, 3.956 Å, I 29, (1 1 0)
2θ 27.67, 3.224 Å, I 68, (2 0 2)
2θ 28.07, 3.179 Å, I 33, (0 0 6)
2θ 29.62, 3.016 Å, I 100, (2 0 3)
2θ 32.17, 2.782 Å, I 71, (2 0 4)
2θ 45.87, 1.978 Å, I 57, (2 2 0)
2θ 54.64, 1.680 Å, I 29, (2 2 6)